Record 1
The following is a calculated PXRD pattern of Mg3Tl2. It was derived from a crystal structure in Alexandria, relaxed with PBE, using Cu Kα (weighted mean of Kα1 and Kα2).
Lines closer than 0.1° are merged.

```
data_Mg3Tl2
_chemical_formula_sum 'Mg12 Tl8'
_space_group_name_H-M_alt 'I b a m'
_space_group_IT_number 72
_space_group_name_Hall '-I 2 2c'
_cell_length_a 7.5958
_cell_length_b 11.6804
_cell_length_c 5.9411
_cell_angle_alpha 90.00
_cell_angle_beta 90.00
_cell_angle_gamma 90.00
loop_
_atom_site_label
_atom_site_fract_x
_atom_site_fract_y
_atom_site_fract_z
_atom_site_occupancy
Mg1 0.0000 0.0000 0.2500 1
Mg2 0.1494 0.4154 0.0000 1
Tl1 0.2373 0.3255 0.5000 1
```

Most intense lines, 15° ≤ 2θ ≤ 90°, by angle:
- 2θ 15.17, 5.840 Å, I 29, (0 2 0)
- 2θ 23.42, 3.798 Å, I 50, (2 0 0)
- 2θ 24.37, 3.652 Å, I 100, (1 2 1)
- 2θ 28.02, 3.184 Å, I 27, (2 2 0)
- 2θ 30.08, 2.971 Å, I 33, (0 0 2)
- 2θ 36.26, 2.477 Å, I 80, (1 4 1)
- 2θ 38.47, 2.340 Å, I 36, (2 0 2)
- 2θ 41.75, 2.164 Å, I 33, (3 2 1)
- 2θ 50.10, 1.821 Å, I 37, (3 4 1)
- 2θ 57.55, 1.602 Å, I 27, (1 4 3)

---

Record 2
The following is a calculated PXRD pattern of Mg7Tl3. It was derived from a crystal structure in Alexandria, relaxed with PBE, using Cu Kα (weighted mean of Kα1 and Kα2).
Lines closer than 0.1° are merged.

```
data_Mg7Tl3
_chemical_formula_sum 'Mg14 Tl6'
_space_group_name_H-M_alt 'C 1 2/m 1'
_space_group_IT_number 12
_cell_length_a 16.4857
_cell_length_b 4.5958
_cell_length_c 6.4162
_cell_angle_alpha 90.00
_cell_angle_beta 103.50
_cell_angle_gamma 90.00
loop_
_space_group_symop_operation_xyz
'x,y,z'
'-x,-y,-z'
'-x,y,-z'
'x,-y,z'
'x+1/2,y+1/2,z'
'-x+1/2,-y+1/2,-z'
'-x+1/2,y+1/2,-z'
'x+1/2,-y+1/2,z'
loop_
_atom_site_label
_atom_site_fract_x
_atom_site_fract_y
_atom_site_fract_z
_atom_site_occupancy
Mg1 0.0000 0.0000 0.0000 1
Mg2 0.0950 0.5000 0.3176 1
Mg3 0.1063 0.5000 0.8252 1
Mg4 0.2032 0.0000 0.6216 1
Tl1 0.0000 0.0000 0.5000 1
Tl2 0.1931 0.0000 0.1299 1
```

Most intense lines, 15° ≤ 2θ ≤ 90°, by angle:
- 2θ 19.97, 4.446 Å, I 44, (2 0 1)
- 2θ 20.10, 4.418 Å, I 28, (1 1 0)
- 2θ 23.41, 3.799 Å, I 18, (4 0 -1)
- 2θ 25.44, 3.501 Å, I 20, (1 1 1)
- 2θ 27.35, 3.261 Å, I 38, (3 1 -1)
- 2θ 34.10, 2.629 Å, I 100, (5 1 0)
- 2θ 38.93, 2.314 Å, I 15, (6 0 -2)
- 2θ 39.20, 2.298 Å, I 18, (0 2 0)
- 2θ 40.59, 2.223 Å, I 16, (4 0 2)
- 2θ 49.64, 1.837 Å, I 16, (7 1 1)

---

Record 3
The following is a calculated PXRD pattern of Mg17Tl12. It was derived from a crystal structure in Alexandria, relaxed with PBE, using Cu Kα (weighted mean of Kα1 and Kα2).
Lines closer than 0.1° are merged.

```
data_Mg17Tl12
_chemical_formula_sum 'Mg34 Tl24'
_space_group_name_H-M_alt 'I -4 3 m'
_space_group_IT_number 217
_space_group_name_Hall 'I -4 2 3'
_cell_length_a 11.3605
_cell_length_b 11.3605
_cell_length_c 11.3605
_cell_angle_alpha 90.00
_cell_angle_beta 90.00
_cell_angle_gamma 90.00
loop_
_atom_site_label
_atom_site_fract_x
_atom_site_fract_y
_atom_site_fract_z
_atom_site_occupancy
Mg1 0.0000 0.0000 0.0000 1
Mg2 0.0515 0.3599 0.3599 1
Mg3 0.1644 0.1644 0.8356 1
Tl1 0.0970 0.0970 0.2964 1
```

Most intense lines, 15° ≤ 2θ ≤ 90°, by angle:
- 2θ 19.14, 4.638 Å, I 100, (2 1 1)
- 2θ 27.19, 3.279 Å, I 27, (2 2 2)
- 2θ 31.50, 2.840 Å, I 15, (4 0 0)
- 2θ 33.47, 2.678 Å, I 55, (4 1 1)
- 2θ 37.12, 2.422 Å, I 63, (3 3 2)
- 2θ 40.49, 2.228 Å, I 68, (5 1 0)
- 2θ 57.35, 1.607 Å, I 32, (5 5 0)
- 2θ 64.60, 1.443 Å, I 18, (7 3 2)
- 2θ 66.91, 1.398 Å, I 18, (8 1 1)
- 2θ 78.00, 1.225 Å, I 18, (6 5 5)

---

Record 4
The following is a calculated PXRD pattern of Mg3Tl8. It was derived from a crystal structure in Alexandria, relaxed with PBE, using Cu Kα (weighted mean of Kα1 and Kα2).
Lines closer than 0.1° are merged.

```
data_Mg3Tl8
_chemical_formula_sum 'Mg6 Tl16'
_space_group_name_H-M_alt 'C 1 2/m 1'
_space_group_IT_number 12
_cell_length_a 10.2742
_cell_length_b 4.7386
_cell_length_c 12.9947
_cell_angle_alpha 90.00
_cell_angle_beta 105.12
_cell_angle_gamma 90.00
loop_
_space_group_symop_operation_xyz
'x,y,z'
'-x,-y,-z'
'-x,y,-z'
'x,-y,z'
'x+1/2,y+1/2,z'
'-x+1/2,-y+1/2,-z'
'-x+1/2,y+1/2,-z'
'x+1/2,-y+1/2,z'
loop_
_atom_site_label
_atom_site_fract_x
_atom_site_fract_y
_atom_site_fract_z
_atom_site_occupancy
Mg1 0.0000 0.0000 0.0000 1
Mg2 0.0488 0.5000 0.8295 1
Tl1 0.0917 0.0000 0.6498 1
Tl2 0.1348 0.5000 0.4474 1
Tl3 0.1744 0.0000 0.2516 1
Tl4 0.2236 0.5000 0.0816 1
```

Most intense lines, 15° ≤ 2θ ≤ 90°, by angle:
- 2θ 20.91, 4.249 Å, I 15, (2 0 1)
- 2θ 26.52, 3.361 Å, I 17, (1 1 2)
- 2θ 28.12, 3.173 Å, I 14, (1 1 -3)
- 2θ 31.56, 2.835 Å, I 100, (1 1 3)
- 2θ 33.07, 2.709 Å, I 95, (3 1 -2)
- 2θ 35.64, 2.519 Å, I 34, (2 0 -5)
- 2θ 37.98, 2.369 Å, I 33, (0 2 0)
- 2θ 38.81, 2.320 Å, I 30, (4 0 1)
- 2θ 53.08, 1.725 Å, I 29, (2 2 -5)
- 2θ 55.43, 1.658 Å, I 22, (4 2 1)

---

Record 5
The following is a calculated PXRD pattern of MgTl6. It was derived from a crystal structure in Alexandria, relaxed with PBE, using Cu Kα (weighted mean of Kα1 and Kα2).
Lines closer than 0.1° are merged.

```
data_MgTl6
_chemical_formula_sum 'Mg3 Tl18'
_space_group_name_H-M_alt 'R -3 m'
_space_group_IT_number 166
_space_group_name_Hall '-R 3 2"'
_cell_length_a 5.5381
_cell_length_b 5.5381
_cell_length_c 23.2627
_cell_angle_alpha 90.00
_cell_angle_beta 90.00
_cell_angle_gamma 120.00
loop_
_atom_site_label
_atom_site_fract_x
_atom_site_fract_y
_atom_site_fract_z
_atom_site_occupancy
Mg1 0.0000 0.0000 0.0000 1
Tl1 0.0000 0.0000 0.1409 1
Tl2 0.0000 0.0000 0.2868 1
Tl3 0.0000 0.0000 0.4287 1
```

Most intense lines, 15° ≤ 2θ ≤ 90°, by angle:
- 2θ 32.33, 2.769 Å, I 100, (1 1 0)
- 2θ 32.79, 2.732 Å, I 96, (1 0 7)
- 2θ 46.71, 1.945 Å, I 36, (0 2 7)
- 2θ 57.66, 1.599 Å, I 20, (3 0 0)
- 2θ 57.95, 1.591 Å, I 39, (2 1 7)
- 2θ 58.81, 1.570 Å, I 18, (0 1 14)
- 2θ 67.67, 1.385 Å, I 12, (2 2 0)
- 2θ 68.73, 1.366 Å, I 12, (2 0 14)
- 2θ 77.25, 1.235 Å, I 17, (1 3 7)
- 2θ 78.01, 1.225 Å, I 16, (1 2 14)

---

Record 6
The following is a calculated PXRD pattern of Mg2Tl. It was derived from a crystal structure in Alexandria, relaxed with PBE, using Cu Kα (weighted mean of Kα1 and Kα2).
Lines closer than 0.1° are merged.

```
data_Mg2Tl
_chemical_formula_sum 'Mg4 Tl2'
_space_group_name_H-M_alt 'I m m m'
_space_group_IT_number 71
_space_group_name_Hall '-I 2 2'
_cell_length_a 3.3340
_cell_length_b 4.4751
_cell_length_c 9.6376
_cell_angle_alpha 90.00
_cell_angle_beta 90.00
_cell_angle_gamma 90.00
loop_
_atom_site_label
_atom_site_fract_x
_atom_site_fract_y
_atom_site_fract_z
_atom_site_occupancy
Mg1 0.0000 0.0000 0.1671 1
Tl1 0.0000 0.0000 0.5000 1
```

Most intense lines, 15° ≤ 2θ ≤ 90°, by angle:
- 2θ 18.41, 4.819 Å, I 74, (0 0 2)
- 2θ 21.90, 4.059 Å, I 100, (0 1 1)
- 2θ 28.33, 3.151 Å, I 54, (1 0 1)
- 2θ 33.52, 2.674 Å, I 73, (1 1 0)
- 2θ 34.36, 2.610 Å, I 69, (0 1 3)
- 2θ 38.51, 2.338 Å, I 48, (1 1 2)
- 2θ 38.93, 2.313 Å, I 49, (1 0 3)
- 2θ 40.31, 2.238 Å, I 22, (0 2 0)
- 2θ 49.99, 1.824 Å, I 23, (1 2 1)
- 2θ 57.30, 1.608 Å, I 40, (1 2 3)

---

Record 7
The following is a calculated PXRD pattern of Mg5Tl. It was derived from a crystal structure in Alexandria, relaxed with PBE, using Cu Kα (weighted mean of Kα1 and Kα2).
Lines closer than 0.1° are merged.

```
data_Mg5Tl
_chemical_formula_sum 'Mg5 Tl1'
_space_group_name_H-M_alt 'P 3 m 1'
_space_group_IT_number 156
_cell_length_a 5.0698
_cell_length_b 5.0698
_cell_length_c 6.3418
_cell_angle_alpha 90.00
_cell_angle_beta 90.00
_cell_angle_gamma 120.00
loop_
_space_group_symop_operation_xyz
'x,y,z'
'-y,x-y,z'
'-x+y,-x,z'
'-y,-x,z'
'-x+y,y,z'
'x,x-y,z'
loop_
_atom_site_label
_atom_site_fract_x
_atom_site_fract_y
_atom_site_fract_z
_atom_site_occupancy
Mg1 0.0000 0.0000 0.0000 1
Mg2 0.0000 0.0000 0.4880 1
Mg3 0.3333 0.6667 0.1495 1
Mg4 0.6667 0.3333 0.2973 1
Mg5 0.6667 0.3333 0.8080 1
Tl1 0.3333 0.6667 0.6493 1
```

Most intense lines, 15° ≤ 2θ ≤ 90°, by angle:
- 2θ 20.23, 4.391 Å, I 78, (1 0 0)
- 2θ 24.66, 3.610 Å, I 100, (0 1 1)
- 2θ 34.90, 2.571 Å, I 90, (0 1 2)
- 2θ 35.41, 2.535 Å, I 71, (1 1 0)
- 2θ 38.24, 2.354 Å, I 31, (1 1 1)
- 2θ 43.63, 2.075 Å, I 23, (2 0 1)
- 2θ 45.83, 1.980 Å, I 23, (1 1 2)
- 2θ 50.57, 1.805 Å, I 32, (2 0 2)
- 2θ 57.40, 1.605 Å, I 21, (1 2 1)
- 2θ 63.25, 1.470 Å, I 32, (1 2 2)

---

Record 8
The following is a calculated PXRD pattern of Mg5Tl24. It was derived from a crystal structure in Alexandria, relaxed with PBE, using Cu Kα (weighted mean of Kα1 and Kα2).
Lines closer than 0.1° are merged.

```
data_Mg5Tl24
_chemical_formula_sum 'Mg10 Tl48'
_space_group_name_H-M_alt 'I -4 3 m'
_space_group_IT_number 217
_space_group_name_Hall 'I -4 2 3'
_cell_length_a 12.0356
_cell_length_b 12.0356
_cell_length_c 12.0356
_cell_angle_alpha 90.00
_cell_angle_beta 90.00
_cell_angle_gamma 90.00
loop_
_atom_site_label
_atom_site_fract_x
_atom_site_fract_y
_atom_site_fract_z
_atom_site_occupancy
Mg1 0.0000 0.0000 0.0000 1
Mg2 0.1612 0.1612 0.1612 1
Tl1 0.0555 0.3601 0.6399 1
Tl2 0.0933 0.0933 0.7166 1
```

Most intense lines, 15° ≤ 2θ ≤ 90°, by angle:
- 2θ 18.05, 4.914 Å, I 22, (2 1 1)
- 2θ 29.69, 3.009 Å, I 21, (4 0 0)
- 2θ 31.54, 2.837 Å, I 100, (4 1 1)
- 2θ 34.97, 2.566 Å, I 59, (3 3 2)
- 2θ 38.13, 2.360 Å, I 52, (4 3 1)
- 2θ 53.86, 1.702 Å, I 13, (5 5 0)
- 2θ 56.16, 1.638 Å, I 32, (5 5 2)
- 2θ 57.28, 1.608 Å, I 20, (6 4 2)
- 2θ 58.39, 1.580 Å, I 13, (7 3 0)
- 2θ 72.88, 1.298 Å, I 13, (6 5 5)

---

Record 9
The following is a calculated PXRD pattern of MgTl2. It was derived from a crystal structure in Alexandria, relaxed with PBE, using Cu Kα (weighted mean of Kα1 and Kα2).
Lines closer than 0.1° are merged.

```
data_MgTl2
_chemical_formula_sum 'Mg1 Tl2'
_space_group_name_H-M_alt 'P 4/m m m'
_space_group_IT_number 123
_space_group_name_Hall '-P 4 2'
_cell_length_a 5.1755
_cell_length_b 5.1755
_cell_length_c 3.3528
_cell_angle_alpha 90.00
_cell_angle_beta 90.00
_cell_angle_gamma 90.00
loop_
_atom_site_label
_atom_site_fract_x
_atom_site_fract_y
_atom_site_fract_z
_atom_site_occupancy
Mg1 0.0000 0.0000 0.0000 1
Tl1 0.0000 0.5000 0.5000 1
```

Most intense lines, 15° ≤ 2θ ≤ 90°, by angle:
- 2θ 24.32, 3.660 Å, I 100, (1 1 0)
- 2θ 26.59, 3.353 Å, I 40, (0 0 1)
- 2θ 34.66, 2.588 Å, I 53, (2 0 0)
- 2θ 36.34, 2.472 Å, I 93, (1 1 1)
- 2θ 44.21, 2.049 Å, I 42, (2 0 1)
- 2θ 49.83, 1.830 Å, I 19, (2 2 0)
- 2θ 56.20, 1.637 Å, I 21, (3 1 0)
- 2θ 57.37, 1.606 Å, I 20, (2 2 1)
- 2θ 60.77, 1.524 Å, I 17, (1 1 2)
- 2θ 63.22, 1.471 Å, I 38, (3 1 1)

---

Record 10
The following is a calculated PXRD pattern of MgTl. It was derived from a crystal structure in Alexandria, relaxed with PBE, using Cu Kα (weighted mean of Kα1 and Kα2).
Lines closer than 0.1° are merged.

```
data_MgTl
_chemical_formula_sum 'Mg2 Tl2'
_space_group_name_H-M_alt 'C m m m'
_space_group_IT_number 65
_space_group_name_Hall '-C 2 2'
_cell_length_a 3.7508
_cell_length_b 5.6224
_cell_length_c 4.9342
_cell_angle_alpha 90.00
_cell_angle_beta 90.00
_cell_angle_gamma 90.00
loop_
_atom_site_label
_atom_site_fract_x
_atom_site_fract_y
_atom_site_fract_z
_atom_site_occupancy
Mg1 0.0000 0.0000 0.0000 1
Tl1 0.0000 0.5000 0.5000 1
```

Most intense lines, 15° ≤ 2θ ≤ 90°, by angle:
- 2θ 17.98, 4.934 Å, I 69, (0 0 1)
- 2θ 28.61, 3.120 Å, I 46, (1 1 0)
- 2θ 31.83, 2.811 Å, I 30, (0 2 0)
- 2θ 33.99, 2.637 Å, I 100, (1 1 1)
- 2θ 36.42, 2.467 Å, I 21, (0 0 2)
- 2θ 36.80, 2.443 Å, I 24, (0 2 1)
- 2θ 46.95, 1.935 Å, I 25, (1 1 2)
- 2θ 49.13, 1.854 Å, I 18, (0 2 2)
- 2θ 58.11, 1.587 Å, I 22, (1 3 1)
- 2θ 63.99, 1.455 Å, I 16, (1 1 3)

---

Record 11
The following is a calculated PXRD pattern of Mg2Tl3. It was derived from a crystal structure in Alexandria, relaxed with PBE, using Cu Kα (weighted mean of Kα1 and Kα2).
Lines closer than 0.1° are merged.

```
data_Mg2Tl3
_chemical_formula_sum 'Mg6 Tl9'
_space_group_name_H-M_alt 'R -3 m'
_space_group_IT_number 166
_space_group_name_Hall '-R 3 2"'
_cell_length_a 3.5304
_cell_length_b 3.5304
_cell_length_c 36.7421
_cell_angle_alpha 90.00
_cell_angle_beta 90.00
_cell_angle_gamma 120.00
loop_
_atom_site_label
_atom_site_fract_x
_atom_site_fract_y
_atom_site_fract_z
_atom_site_occupancy
Mg1 0.0000 0.0000 0.1024 1
Tl1 0.0000 0.0000 0.2965 1
Tl2 0.0000 0.0000 0.5000 1
```

Most intense lines, 15° ≤ 2θ ≤ 90°, by angle:
- 2θ 21.77, 4.082 Å, I 24, (0 0 9)
- 2θ 29.31, 3.047 Å, I 22, (1 0 1)
- 2θ 30.82, 2.901 Å, I 25, (1 0 4)
- 2θ 31.70, 2.823 Å, I 100, (0 1 5)
- 2θ 36.69, 2.449 Å, I 21, (0 0 15)
- 2θ 38.30, 2.350 Å, I 59, (1 0 10)
- 2θ 51.79, 1.765 Å, I 28, (1 1 0)
- 2θ 58.62, 1.575 Å, I 16, (0 1 20)
- 2θ 62.01, 1.497 Å, I 15, (2 0 5)
- 2θ 65.14, 1.432 Å, I 24, (1 1 15)

---

Record 12
The following is a calculated PXRD pattern of MgTl. It was derived from a crystal structure in Alexandria, relaxed with PBE, using Cu Kα (weighted mean of Kα1 and Kα2).
Lines closer than 0.1° are merged.

```
data_MgTl
_chemical_formula_sum 'Mg2 Tl2'
_space_group_name_H-M_alt 'P m m n'
_space_group_IT_number 59
_cell_length_a 3.4042
_cell_length_b 5.8170
_cell_length_c 5.1836
_cell_angle_alpha 90.00
_cell_angle_beta 90.00
_cell_angle_gamma 90.00
loop_
_space_group_symop_operation_xyz
'x,y,z'
'-x,-y,-z'
'-x+1/2,-y+1/2,z'
'x+1/2,y+1/2,-z'
'x+1/2,-y,-z'
'-x+1/2,y,z'
'-x,y+1/2,-z'
'x,-y+1/2,z'
loop_
_atom_site_label
_atom_site_fract_x
_atom_site_fract_y
_atom_site_fract_z
_atom_site_occupancy
Mg1 0.2500 0.2500 0.0942 1
Tl1 0.2500 0.7500 0.4063 1
```

Most intense lines, 15° ≤ 2θ ≤ 90°, by angle:
- 2θ 17.11, 5.184 Å, I 84, (0 0 1)
- 2θ 22.98, 3.870 Å, I 38, (0 1 1)
- 2θ 30.42, 2.938 Å, I 62, (1 1 0)
- 2θ 30.74, 2.908 Å, I 51, (0 2 0)
- 2θ 31.44, 2.845 Å, I 30, (1 0 1)
- 2θ 35.11, 2.556 Å, I 100, (1 1 1)
- 2θ 35.39, 2.536 Å, I 29, (0 2 1)
- 2θ 38.01, 2.367 Å, I 50, (0 1 2)
- 2θ 54.52, 1.683 Å, I 34, (1 3 0)
- 2θ 57.52, 1.602 Å, I 25, (1 3 1)

---

Record 13
The following is a calculated PXRD pattern of Mg2Tl. It was derived from a crystal structure in Alexandria, relaxed with PBE, using Cu Kα (weighted mean of Kα1 and Kα2).
Lines closer than 0.1° are merged.

```
data_Mg2Tl
_chemical_formula_sum 'Mg16 Tl8'
_space_group_name_H-M_alt 'I 41/a m d'
_space_group_IT_number 141
_cell_length_a 4.5170
_cell_length_b 4.5170
_cell_length_c 28.0503
_cell_angle_alpha 90.00
_cell_angle_beta 90.00
_cell_angle_gamma 90.00
loop_
_space_group_symop_operation_xyz
'x,y,z'
'-x,-y,-z'
'-y+1/4,x+3/4,z+1/4'
'y+1/4,-x+3/4,-z+1/4'
'-x+1/2,-y,z+1/2'
'x+1/2,y,-z+1/2'
'y+1/4,-x+1/4,z+3/4'
'-y+1/4,x+1/4,-z+3/4'
'x,-y,-z'
'-x,y,z'
'-y+1/4,-x+1/4,-z+3/4'
'y+1/4,x+1/4,z+3/4'
'-x+1/2,y,-z+1/2'
'x+1/2,-y,z+1/2'
'y+1/4,x+3/4,-z+1/4'
'-y+1/4,-x+3/4,z+1/4'
'x+1/2,y+1/2,z+1/2'
'-x+1/2,-y+1/2,-z+1/2'
'-y+3/4,x+1/4,z+3/4'
'y+3/4,-x+1/4,-z+3/4'
'-x,-y+1/2,z'
'x,y+1/2,-z'
'y+3/4,-x+3/4,z+1/4'
'-y+3/4,x+3/4,-z+1/4'
'x+1/2,-y+1/2,-z+1/2'
'-x+1/2,y+1/2,z+1/2'
'-y+3/4,-x+3/4,-z+1/4'
'y+3/4,x+3/4,z+1/4'
'-x,y+1/2,-z'
'x,-y+1/2,z'
'y+3/4,x+1/4,-z+3/4'
'-y+3/4,-x+1/4,z+3/4'
loop_
_atom_site_label
_atom_site_fract_x
_atom_site_fract_y
_atom_site_fract_z
_atom_site_occupancy
Mg1 0.0000 0.2500 0.1252 1
Mg2 0.0000 0.2500 0.2915 1
Tl1 0.0000 0.2500 0.7957 1
```

Most intense lines, 15° ≤ 2θ ≤ 90°, by angle:
- 2θ 19.91, 4.460 Å, I 70, (1 0 1)
- 2θ 25.34, 3.515 Å, I 44, (0 0 8)
- 2θ 28.66, 3.114 Å, I 23, (1 1 2)
- 2θ 29.81, 2.998 Å, I 31, (1 0 7)
- 2θ 33.99, 2.637 Å, I 100, (1 1 6)
- 2θ 39.92, 2.259 Å, I 33, (2 0 0)
- 2θ 44.99, 2.015 Å, I 18, (2 1 1)
- 2θ 47.88, 1.900 Å, I 21, (2 0 8)
- 2θ 56.67, 1.624 Å, I 22, (2 0 12)
- 2θ 68.71, 1.366 Å, I 26, (3 1 6)

---

Record 14
The following is a calculated PXRD pattern of TmMg3Tl. It was derived from a crystal structure in Alexandria, relaxed with PBE, using Cu Kα (weighted mean of Kα1 and Kα2).
Lines closer than 0.1° are merged.

```
data_TmMg3Tl
_chemical_formula_sum 'Tm2 Mg6 Tl2'
_space_group_name_H-M_alt 'P -1'
_space_group_IT_number 2
_cell_length_a 4.8704
_cell_length_b 5.0011
_cell_length_c 11.5472
_cell_angle_alpha 102.40
_cell_angle_beta 101.52
_cell_angle_gamma 90.54
loop_
_space_group_symop_operation_xyz
'x,y,z'
'-x,-y,-z'
loop_
_atom_site_label
_atom_site_fract_x
_atom_site_fract_y
_atom_site_fract_z
_atom_site_occupancy
Tm1 0.1599 0.1544 0.3120 1
Mg1 0.0000 0.0000 0.0000 1
Mg2 0.2500 0.7507 0.5014 1
Mg3 0.3324 0.3354 0.6690 1
Mg4 0.5000 0.5000 0.0000 1
Tl1 0.0809 0.5775 0.1589 1
```

Most intense lines, 15° ≤ 2θ ≤ 90°, by angle:
- 2θ 16.06, 5.517 Å, I 28, (0 0 2)
- 2θ 18.66, 4.755 Å, I 100, (1 0 -1)
- 2θ 21.49, 4.136 Å, I 26, (0 1 1)
- 2θ 26.92, 3.311 Å, I 26, (0 1 -3)
- 2θ 33.60, 2.667 Å, I 36, (0 1 3)
- 2θ 35.24, 2.547 Å, I 30, (1 -1 3)
- 2θ 35.46, 2.531 Å, I 58, (1 1 2)
- 2θ 35.68, 2.517 Å, I 28, (1 1 -4)
- 2θ 35.91, 2.500 Å, I 30, (0 2 -1)
- 2θ 36.91, 2.435 Å, I 28, (2 0 -1)